1.
For NaCa3RuO6, a cell relaxed with GGA-PBE gives the calculated PXRD pattern in this record (CuKα).
Peak positions follow from Bragg's law for the DFT cell and can differ from measured ones.

```
22
Lattice="4.6585 2.6896 3.7591 -4.6585 2.6896 3.7591 0.0000 -5.3791 3.7591" Properties=species:S:1:pos:R:3 pbc="T T T"
Na 0.0000 0.0000 2.8193
Na 0.0000 0.0000 8.4579
Ca -3.0051 0.1741 4.6988
Ca -1.6534 -2.5154 6.5784
Ca 1.3518 -2.6896 4.6988
Ca -1.3517 2.6896 6.5784
Ca 1.6534 2.5154 4.6988
Ca 3.0051 -0.1741 6.5784
Ru 0.0000 0.0000 0.0000
Ru 0.0000 0.0000 5.6386
O -4.0758 -1.1551 6.3901
O -1.0376 -4.1073 4.8872
O -1.0376 -1.2718 4.5105
O -3.0382 2.9522 4.8872
O -0.5826 1.5345 4.5105
O -1.6202 0.2627 6.7667
O 1.6202 -0.2627 4.5105
O 0.5826 -1.5345 6.7667
O 3.0383 -2.9522 6.3901
O 1.0376 1.2718 6.7667
O 1.0376 4.1073 6.3901
O 4.0758 1.1551 4.8872
```

Largest 8 diffraction maxima, by angle, 2θ = 10–90°:
2θ (°), intensity
19.05, 47
19.20, 93
30.56, 33
33.32, 100
38.97, 26
43.51, 27
43.73, 53
45.83, 45


2.
For La2In3Cu9, a cell relaxed with GGA-PBE gives the calculated PXRD pattern in this record (CuKα).
Peak positions follow from Bragg's law for the DFT cell and can differ from measured ones.

```
56
Lattice="10.8736 0.0000 0.0000 0.0000 17.2420 0.0000 0.0000 0.0000 5.2232" Properties=species:S:1:pos:R:3 pbc="T T T"
La 0.0000 0.0000 0.0000
La 0.0000 8.6210 0.0000
La 1.2145 4.2112 2.6116
La 4.2223 12.8322 0.0000
La 5.4368 0.0000 2.6116
La 5.4368 8.6210 2.6116
La 6.6512 4.4098 0.0000
La 9.6591 13.0308 2.6116
In 0.8135 13.9151 0.0000
In 2.0993 0.9272 2.6116
In 2.2022 13.4862 2.6116
In 3.2346 4.8653 0.0000
In 3.3374 9.5481 0.0000
In 4.6233 5.2941 2.6116
In 6.2502 11.9479 2.6116
In 7.5361 7.6938 0.0000
In 7.6390 12.3767 0.0000
In 8.6713 3.7557 2.6116
In 8.7742 16.3148 2.6116
In 10.0601 3.3269 0.0000
Cu 0.4481 7.1288 2.6116
Cu 0.5244 15.6686 2.6116
Cu 0.7177 5.7574 0.0000
Cu 1.4342 11.2649 1.2763
Cu 1.4342 11.2649 3.9469
Cu 1.7559 2.5551 0.0000
Cu 2.0627 9.2124 2.6116
Cu 2.6374 7.1057 1.3368
Cu 2.6374 7.1057 3.8864
Cu 2.7994 15.7267 1.2748
Cu 2.7994 15.7267 3.9485
Cu 3.3741 0.5915 0.0000
Cu 3.6809 11.1761 2.6116
Cu 4.0026 2.6439 1.3353
Cu 4.0026 2.6439 3.8879
Cu 4.7191 14.3784 2.6116
Cu 4.9124 7.0476 0.0000
Cu 4.9886 15.7498 0.0000
Cu 5.8849 1.4922 0.0000
Cu 5.9611 10.1944 0.0000
Cu 6.1545 2.8636 2.6116
Cu 6.8710 14.5981 1.3353
Cu 6.8710 14.5981 3.8879
Cu 7.1926 6.0659 2.6116
Cu 7.4994 16.6505 0.0000
Cu 8.0741 1.5153 1.2748
Cu 8.0741 1.5153 3.9485
Cu 8.2362 10.1363 1.3368
Cu 8.2362 10.1363 3.8864
Cu 8.8109 8.0295 2.6116
Cu 9.1177 14.6869 0.0000
Cu 9.4394 5.9771 1.2763
Cu 9.4394 5.9771 3.9469
Cu 10.1559 11.4846 0.0000
Cu 10.3492 1.5734 2.6116
Cu 10.4254 10.1132 2.6116
```

Largest 8 diffraction maxima, by angle, 2θ = 10–90°:
2θ (°), intensity
30.01, 32
34.34, 46
34.60, 33
36.63, 100
36.68, 62
41.26, 39
42.95, 92
43.98, 47